No. 1
SrCrPd2: computed X-ray diffraction stick pattern (Cu Ka), based on DFT lattice parameters and positions (GGA-PBE).

Largest 6 diffraction maxima, sorted by position, 2θ = 10–80°:
| two_theta | I/Imax |
| --- | --- |
| 22.45 | 63 |
| 37.06 | 1000 |
| 43.76 | 34 |
| 53.42 | 169 |
| 66.80 | 337 |
| 78.93 | 104 |

Unit cell a=4.8514 b=4.8514 c=4.8514 alpha=60.00 beta=60.00 gamma=60.00
Element x y z (fractional)
Sr (0.0000, 0.0000, 0.0000)
Cr (0.7500, 0.7500, 0.7500)
Pd (0.2500, 0.2500, 0.2500)
Pd (0.5000, 0.5000, 0.5000)

No. 2
GdSnPd: computed X-ray diffraction stick pattern (Cu Ka), based on DFT lattice parameters and positions (GGA-PBE).

Largest 6 diffraction maxima, sorted by position, 2θ = 10–80°:
| two_theta | I/Imax |
| --- | --- |
| 31.87 | 338 |
| 33.14 | 1000 |
| 38.70 | 606 |
| 38.86 | 306 |
| 51.95 | 152 |
| 63.15 | 177 |

Unit cell a=7.2997 b=4.6352 c=8.0660 alpha=90.00 beta=90.00 gamma=90.00
Element x y z (fractional)
Gd (0.0102, 0.2500, 0.2006)
Gd (0.4898, 0.7500, 0.7006)
Gd (0.5102, 0.2500, 0.2994)
Gd (0.9898, 0.7500, 0.7994)
Sn (0.1840, 0.2500, 0.5825)
Sn (0.3160, 0.7500, 0.0825)
Sn (0.6840, 0.2500, 0.9175)
Sn (0.8160, 0.7500, 0.4175)
Pd (0.2130, 0.7500, 0.4084)
Pd (0.2870, 0.2500, 0.9084)
Pd (0.7130, 0.7500, 0.0916)
Pd (0.7870, 0.2500, 0.5916)

No. 3
SrMg6TiO8: computed X-ray diffraction stick pattern (Cu Ka), based on DFT lattice parameters and positions (GGA-PBE).

Largest 6 diffraction maxima, sorted by position, 2θ = 10–80°:
| two_theta | I/Imax |
| --- | --- |
| 34.68 | 420 |
| 39.94 | 1000 |
| 40.89 | 453 |
| 57.77 | 296 |
| 58.49 | 554 |
| 73.18 | 260 |

Unit cell a=4.5142 b=4.5142 c=8.8276 alpha=90.00 beta=90.00 gamma=90.00
Element x y z (fractional)
Sr (0.0000, 0.0000, 0.0000)
Mg (0.0000, 0.5000, 0.2576)
Mg (0.0000, 0.5000, 0.7424)
Mg (0.5000, 0.0000, 0.2576)
Mg (0.5000, 0.0000, 0.7424)
Mg (0.5000, 0.5000, 0.0000)
Mg (0.5000, 0.5000, 0.5000)
Ti (0.0000, 0.0000, 0.5000)
O (0.0000, 0.0000, 0.2687)
O (0.0000, 0.0000, 0.7313)
O (0.0000, 0.5000, 0.0000)
O (0.0000, 0.5000, 0.5000)
O (0.5000, 0.0000, 0.0000)
O (0.5000, 0.0000, 0.5000)
O (0.5000, 0.5000, 0.2512)
O (0.5000, 0.5000, 0.7488)

No. 4
Bi12BO20: computed X-ray diffraction stick pattern (Cu Ka), based on DFT lattice parameters and positions (GGA-PBE).

Largest 6 diffraction maxima, sorted by position, 2θ = 10–80°:
| two_theta | I/Imax |
| --- | --- |
| 24.82 | 258 |
| 27.81 | 1000 |
| 30.52 | 212 |
| 33.04 | 670 |
| 52.60 | 449 |
| 55.87 | 269 |

Unit cell a=8.7857 b=8.7857 c=8.7857 alpha=109.47 beta=109.47 gamma=109.47
Element x y z (fractional)
Bi (0.1410, 0.8393, 0.3286)
Bi (0.1607, 0.3018, 0.4893)
Bi (0.1875, 0.6982, 0.8590)
Bi (0.3018, 0.4893, 0.1607)
Bi (0.3286, 0.1410, 0.8393)
Bi (0.4893, 0.1607, 0.3018)
Bi (0.5107, 0.8125, 0.6714)
Bi (0.6714, 0.5107, 0.8125)
Bi (0.6982, 0.8590, 0.1875)
Bi (0.8125, 0.6714, 0.5107)
Bi (0.8393, 0.3286, 0.1410)
Bi (0.8590, 0.1875, 0.6982)
B (0.0000, 0.0000, 0.0000)
O (0.0000, 0.0000, 0.3996)
O (0.0000, 0.0000, 0.8277)
O (0.0000, 0.3996, 0.0000)
O (0.0000, 0.8277, 0.0000)
O (0.1229, 0.3549, 0.7405)
O (0.1723, 0.1723, 0.1723)
O (0.2320, 0.8771, 0.6175)
O (0.2595, 0.6144, 0.3825)
O (0.3549, 0.7405, 0.1229)
O (0.3825, 0.2595, 0.6144)
O (0.3856, 0.6451, 0.7680)
O (0.3996, 0.0000, 0.0000)
O (0.6004, 0.6004, 0.6004)
O (0.6144, 0.3825, 0.2595)
O (0.6175, 0.2320, 0.8771)
O (0.6451, 0.7680, 0.3856)
O (0.7405, 0.1229, 0.3549)
O (0.7680, 0.3856, 0.6451)
O (0.8277, 0.0000, 0.0000)
O (0.8771, 0.6175, 0.2320)

No. 5
Ca2SnS4: computed X-ray diffraction stick pattern (Cu Ka), based on DFT lattice parameters and positions (GGA-PBE).

Largest 6 diffraction maxima, sorted by position, 2θ = 10–80°:
| two_theta | I/Imax |
| --- | --- |
| 14.27 | 635 |
| 14.53 | 1000 |
| 25.73 | 646 |
| 31.67 | 707 |
| 39.40 | 697 |
| 44.40 | 597 |

Unit cell a=7.2367 b=7.2367 c=7.1433 alpha=118.43 beta=118.43 gamma=31.75
Element x y z (fractional)
Ca (0.2106, 0.2106, 0.1924)
Ca (0.7894, 0.7894, 0.8076)
Sn (0.5000, 0.5000, 0.5000)
S (0.1326, 0.1326, 0.4946)
S (0.3895, 0.3895, 0.1038)
S (0.6105, 0.6105, 0.8962)
S (0.8674, 0.8674, 0.5054)

No. 6
Cu2GeTe3: computed X-ray diffraction stick pattern (Cu Ka), based on DFT lattice parameters and positions (GGA-PBE).

Largest 6 diffraction maxima, sorted by position, 2θ = 10–80°:
| two_theta | I/Imax |
| --- | --- |
| 25.58 | 349 |
| 25.68 | 1000 |
| 42.45 | 480 |
| 42.59 | 471 |
| 50.37 | 358 |
| 77.86 | 168 |

Unit cell a=7.3525 b=7.3525 c=7.3824 alpha=99.55 beta=99.55 gamma=119.95
Element x y z (fractional)
Cu (0.0844, 0.9156, 0.5000)
Cu (0.2591, 0.7595, 0.0031)
Cu (0.7595, 0.2591, 0.5031)
Cu (0.9156, 0.0844, 0.0000)
Ge (0.4301, 0.6019, 0.5143)
Ge (0.6019, 0.4301, 0.0143)
Te (0.1245, 0.6313, 0.6341)
Te (0.2798, 0.4602, 0.1211)
Te (0.4602, 0.2798, 0.6211)
Te (0.6313, 0.1245, 0.1341)
Te (0.8135, 0.9795, 0.6317)
Te (0.9795, 0.8135, 0.1317)

No. 7
ZnCr4CuSe8: computed X-ray diffraction stick pattern (Cu Ka), based on DFT lattice parameters and positions (GGA-PBE).

Largest 6 diffraction maxima, sorted by position, 2θ = 10–80°:
| two_theta | I/Imax |
| --- | --- |
| 28.16 | 380 |
| 29.44 | 516 |
| 34.12 | 760 |
| 44.81 | 319 |
| 49.03 | 1000 |
| 58.23 | 198 |

Unit cell a=7.4320 b=7.4320 c=7.4320 alpha=60.00 beta=60.00 gamma=60.00
Element x y z (fractional)
Zn (0.0000, 0.0000, 0.0000)
Cr (0.3768, 0.3768, 0.3768)
Cr (0.3768, 0.3768, 0.8696)
Cr (0.3768, 0.8696, 0.3768)
Cr (0.8696, 0.3768, 0.3768)
Cu (0.7500, 0.7500, 0.7500)
Se (0.1353, 0.1353, 0.1353)
Se (0.1353, 0.1353, 0.5942)
Se (0.1353, 0.5942, 0.1353)
Se (0.1495, 0.6168, 0.6168)
Se (0.5942, 0.1353, 0.1353)
Se (0.6168, 0.1495, 0.6168)
Se (0.6168, 0.6168, 0.1495)
Se (0.6168, 0.6168, 0.6168)

No. 8
LaTiNbO6: computed X-ray diffraction stick pattern (Cu Ka), based on DFT lattice parameters and positions (GGA-PBE).

Largest 6 diffraction maxima, sorted by position, 2θ = 10–80°:
| two_theta | I/Imax |
| --- | --- |
| 25.59 | 1000 |
| 26.50 | 708 |
| 26.76 | 896 |
| 27.21 | 347 |
| 33.73 | 291 |
| 34.48 | 271 |

Unit cell a=7.1979 b=7.1979 c=5.3219 alpha=109.46 beta=109.46 gamma=76.85
Element x y z (fractional)
La (0.0000, 0.0000, 0.0000)
La (0.6224, 0.3776, 0.5000)
Ti (0.1604, 0.3719, 0.7999)
Ti (0.6281, 0.8396, 0.2001)
Nb (0.0002, 0.5389, 0.3042)
Nb (0.4611, 0.9998, 0.6958)
O (0.0916, 0.6292, 0.7175)
O (0.2069, 0.0764, 0.7778)
O (0.2555, 0.4662, 0.2097)
O (0.3708, 0.9084, 0.2825)
O (0.4083, 0.3035, 0.7216)
O (0.5338, 0.7445, 0.7903)
O (0.6330, 0.0870, 0.0990)
O (0.6965, 0.5917, 0.2784)
O (0.7116, 0.0085, 0.5955)
O (0.9130, 0.3670, 0.9010)
O (0.9236, 0.7931, 0.2222)
O (0.9915, 0.2884, 0.4045)

No. 9
Sc3Fe2Si3: computed X-ray diffraction stick pattern (Cu Ka), based on DFT lattice parameters and positions (GGA-PBE).

Largest 6 diffraction maxima, sorted by position, 2θ = 10–80°:
| two_theta | I/Imax |
| --- | --- |
| 17.87 | 428 |
| 36.10 | 999 |
| 37.13 | 1000 |
| 41.34 | 976 |
| 42.04 | 799 |
| 45.99 | 786 |

Unit cell a=5.3418 b=5.3418 c=12.8957 alpha=90.00 beta=90.00 gamma=136.64
Element x y z (fractional)
Sc (0.0805, 0.9195, 0.6127)
Sc (0.0805, 0.9195, 0.8873)
Sc (0.3611, 0.6389, 0.7500)
Sc (0.6389, 0.3611, 0.2500)
Sc (0.9195, 0.0805, 0.1127)
Sc (0.9195, 0.0805, 0.3873)
Fe (0.2143, 0.7857, 0.0821)
Fe (0.2143, 0.7857, 0.4179)
Fe (0.7857, 0.2143, 0.5821)
Fe (0.7857, 0.2143, 0.9179)
Si (0.3286, 0.6714, 0.2500)
Si (0.3831, 0.6169, 0.5406)
Si (0.3831, 0.6169, 0.9594)
Si (0.6169, 0.3831, 0.0406)
Si (0.6169, 0.3831, 0.4594)
Si (0.6714, 0.3286, 0.7500)

- What is the formula in the sixth record?
  Cu2GeTe3